For NbTeAsH2, a crystal structure in Alexandria, relaxed with GGA-PBE gives the calculated powder diffractogram in this record (λ = 1.5418 Å (Cu Kα)).
Kinematic intensities with the Lorentz-polarization factor, no thermal factor.

Most intense lines, 2θ from 10° to 80°, in order of rising 2θ:
| index | 2θ/deg | intensity |
| --- | --- | --- |
| 1 0 1 | 28.13 | 64 |
| 1 1 0 | 31.71 | 100 |
| 0 0 2 | 34.29 | 42 |
| 2 0 0 | 45.46 | 38 |
| 1 1 2 | 47.40 | 65 |
| 2 0 2 | 58.16 | 36 |

Crystal structure
```
NbTeAsH2
1.0
3.990 0.000 0.000
0.000 3.990 0.000
0.000 0.000 5.231
Nb Te As H
1 1 1 2
direct
0.000 0.000 0.000 Nb
0.500 0.500 0.500 Te
0.000 0.000 0.500 As
0.000 0.500 0.000 H
0.500 0.000 0.000 H
```